[1]
Structure and theoretical X-ray diffraction stick pattern of Sn2SbSe2I3 (the GGA-PBE geometry in the Materials Project; Cu Kα (λ = 1.5418 Å)).
Kinematic intensities with the Lorentz-polarization factor, no thermal factor.

Structural model:
```
Sn2SbSe2I3
1.0
2.1730 -7.5006 0.0000
2.1730 7.5006 0.0000
0.0000 0.0000 19.0384
Sn Sb Se I
4 2 4 6
Direct
0.1232 0.8768 0.5000
0.1374 0.8626 0.9885
0.8626 0.1374 0.4885
0.8768 0.1232 0.0000
0.2094 0.7906 0.2083
0.7906 0.2094 0.7083
0.2763 0.7237 0.4224
0.2800 0.7200 0.0842
0.7200 0.2800 0.5842
0.7237 0.2763 0.9224
0.1584 0.8416 0.7520
0.4265 0.5735 0.6605
0.4453 0.5547 0.8943
0.5547 0.4453 0.3943
0.5735 0.4265 0.1605
0.8416 0.1584 0.2520
```

Peak list (8 most intense, 2θ = 10–90°, by angle)
2θ 18.6, I = 40
2θ 26.2, I = 34
2θ 27.2, I = 46
2θ 27.6, I = 80
2θ 28.4, I = 100
2θ 33.2, I = 40
2θ 37.6, I = 35
2θ 41.6, I = 37



[2]
Structure and theoretical X-ray diffraction stick pattern of Re7B3 (the GGA-PBE geometry in the Materials Project; Cu Kα (λ = 1.5418 Å)).
Kinematic intensities with the Lorentz-polarization factor, no thermal factor.

Structural model:
```
Re7B3
1.0
7.5550 0.0000 0.0000
-3.7775 6.5428 0.0000
0.0000 0.0000 4.9320
Re B
14 6
Direct
0.0922 0.5461 0.0000
0.1226 0.2452 0.7007
0.1226 0.8774 0.7007
0.2452 0.1226 0.2007
0.3333 0.6667 0.5372
0.4539 0.5461 0.0000
0.4539 0.9078 0.0000
0.5461 0.0922 0.5000
0.5461 0.4539 0.5000
0.6667 0.3333 0.0372
0.7548 0.8774 0.7007
0.8774 0.1226 0.2007
0.8774 0.7548 0.2007
0.9078 0.4539 0.5000
0.1897 0.3795 0.2915
0.1897 0.8103 0.2915
0.3795 0.1897 0.7915
0.6205 0.8103 0.2915
0.8103 0.1897 0.7915
0.8103 0.6205 0.7915
```

Peak list (8 most intense, 2θ = 10–90°, by angle)
2θ 32.9, I = 20
2θ 36.3, I = 30
2θ 39.0, I = 41
2θ 40.8, I = 100
2θ 45.5, I = 31
2θ 46.1, I = 21
2θ 71.9, I = 20
2θ 73.9, I = 23